Entry 1:
For Sc2SbPt2, a crystal structure in Alexandria, relaxed with GGA-PBE gives the computed XRD peak list in this record (a wavelength of 1.5418 Å).
Kinematic intensities with the Lorentz-polarization factor, no thermal factor.

Atomic structure:
```
data_Sc2SbPt2
_chemical_formula_sum 'Sc4 Sb2 Pt4'
_cell_length_a 7.6160
_cell_length_b 7.6160
_cell_length_c 3.3594
_cell_angle_alpha 90.00
_cell_angle_beta 90.00
_cell_angle_gamma 90.00
_space_group_name_H-M_alt 'P 1'
_space_group_IT_number 1
_space_group_name_Hall 'P 1'
loop_
_atom_site_label
_atom_site_fract_x
_atom_site_fract_y
_atom_site_fract_z
Sc1 0.1650 0.3350 0.0000
Sc2 0.3350 0.8350 0.0000
Sc3 0.6650 0.1650 0.0000
Sc4 0.8350 0.6650 0.0000
Sb1 0.0000 0.0000 0.5000
Sb2 0.5000 0.5000 0.5000
Pt1 0.1301 0.6301 0.5000
Pt2 0.3699 0.1301 0.5000
Pt3 0.6301 0.8699 0.5000
Pt4 0.8699 0.3699 0.5000
```

Largest 10 diffraction maxima, most intense first, 15 to 90 degrees two-theta:
2θ/deg	intensity
37.6	100
37.3	58
26.2	47
26.5	44
46.4	36
51.1	21
68.1	20
72.5	17
42.8	17
54.6	12

Entry 2:
For SrMgPH, a crystal structure in Alexandria, relaxed with GGA-PBE gives the computed XRD peak list in this record (a wavelength of 1.5418 Å).
Kinematic intensities with the Lorentz-polarization factor, no thermal factor.

Atomic structure:
```
data_SrMgPH
_chemical_formula_sum 'Sr1 Mg1 P1 H1'
_cell_length_a 4.3213
_cell_length_b 4.3213
_cell_length_c 4.7303
_cell_angle_alpha 90.00
_cell_angle_beta 90.00
_cell_angle_gamma 120.00
_space_group_name_H-M_alt 'P 1'
_space_group_IT_number 1
_space_group_name_Hall 'P 1'
loop_
_atom_site_label
_atom_site_fract_x
_atom_site_fract_y
_atom_site_fract_z
Sr1 0.0000 0.0000 0.0000
Mg1 0.6667 0.3333 0.5213
P1 0.3333 0.6667 0.4514
H1 0.6667 0.3333 0.9408
```

Largest 10 diffraction maxima, most intense first, 15 to 90 degrees two-theta:
2θ/deg	intensity
30.5	100
41.8	33
23.8	23
57.8	22
52.6	21
69.3	18
38.0	13
64.1	11
45.4	11
88.6	7

Entry 3:
For TeMo4Cl, a crystal structure in Alexandria, relaxed with GGA-PBE gives the computed XRD peak list in this record (a wavelength of 1.5418 Å).
Kinematic intensities with the Lorentz-polarization factor, no thermal factor.

Atomic structure:
```
data_TeMo4Cl
_chemical_formula_sum 'Te1 Mo4 Cl1'
_cell_length_a 5.3877
_cell_length_b 5.3877
_cell_length_c 5.3877
_cell_angle_alpha 60.00
_cell_angle_beta 60.00
_cell_angle_gamma 60.00
_space_group_name_H-M_alt 'P 1'
_space_group_IT_number 1
_space_group_name_Hall 'P 1'
loop_
_atom_site_label
_atom_site_fract_x
_atom_site_fract_y
_atom_site_fract_z
Te1 0.0000 0.0000 0.0000
Mo1 0.3774 0.3774 0.3774
Mo2 0.3774 0.3774 0.8677
Mo3 0.3774 0.8677 0.3774
Mo4 0.8677 0.3774 0.3774
Cl1 0.7500 0.7500 0.7500
```

Largest 10 diffraction maxima, most intense first, 15 to 90 degrees two-theta:
2θ/deg	intensity
39.2	100
41.0	48
63.4	32
69.8	27
33.3	21
20.2	18
84.3	18
83.1	11
23.3	10
47.7	8

Entry 4:
For Pm2SiN3, a crystal structure in Alexandria, relaxed with GGA-PBE gives the computed XRD peak list in this record (a wavelength of 1.5418 Å).
Kinematic intensities with the Lorentz-polarization factor, no thermal factor.

Atomic structure:
```
data_Pm2SiN3
_chemical_formula_sum 'Pm8 Si4 N12'
_cell_length_a 5.9722
_cell_length_b 5.9722
_cell_length_c 11.7069
_cell_angle_alpha 90.91
_cell_angle_beta 90.91
_cell_angle_gamma 126.75
_space_group_name_H-M_alt 'P 1'
_space_group_IT_number 1
_space_group_name_Hall 'P 1'
loop_
_atom_site_label
_atom_site_fract_x
_atom_site_fract_y
_atom_site_fract_z
Pm1 0.0365 0.4345 0.3570
Pm2 0.1316 0.3548 0.9323
Pm3 0.3548 0.1316 0.4323
Pm4 0.4345 0.0365 0.8570
Pm5 0.5655 0.9635 0.1430
Pm6 0.6452 0.8684 0.5677
Pm7 0.8684 0.6452 0.0677
Pm8 0.9635 0.5655 0.6430
Si1 0.2591 0.2610 0.6678
Si2 0.2610 0.2591 0.1678
Si3 0.7390 0.7409 0.8322
Si4 0.7409 0.7390 0.3322
N1 0.0191 0.9809 0.2500
N2 0.1255 0.4486 0.1424
N3 0.1425 0.3326 0.5441
N4 0.3326 0.1425 0.0441
N5 0.4263 0.5737 0.7500
N6 0.4486 0.1255 0.6424
N7 0.5514 0.8745 0.3576
N8 0.5737 0.4263 0.2500
N9 0.6674 0.8575 0.9559
N10 0.8575 0.6674 0.4559
N11 0.8745 0.5514 0.8576
N12 0.9809 0.0191 0.7500
```

Largest 10 diffraction maxima, most intense first, 15 to 90 degrees two-theta:
2θ/deg	intensity
33.5	100
34.2	57
33.6	54
31.0	53
42.2	51
29.1	48
31.3	46
30.0	41
34.5	36
24.4	33

Entry 5:
For Rb2BaSnTe4, a crystal structure in Alexandria, relaxed with GGA-PBE gives the computed XRD peak list in this record (a wavelength of 1.5418 Å).
Kinematic intensities with the Lorentz-polarization factor, no thermal factor.

Atomic structure:
```
data_Rb2BaSnTe4
_chemical_formula_sum 'Rb4 Ba2 Sn2 Te8'
_cell_length_a 9.8955
_cell_length_b 9.8955
_cell_length_c 9.8955
_cell_angle_alpha 124.07
_cell_angle_beta 116.45
_cell_angle_gamma 89.67
_space_group_name_H-M_alt 'P 1'
_space_group_IT_number 1
_space_group_name_Hall 'P 1'
loop_
_atom_site_label
_atom_site_fract_x
_atom_site_fract_y
_atom_site_fract_z
Rb1 0.0000 0.0000 0.0000
Rb2 0.5000 0.0000 0.0000
Rb3 0.5000 0.0000 0.5000
Rb4 0.5000 0.5000 0.5000
Ba1 0.0000 0.5000 0.5000
Ba2 0.5000 0.5000 0.0000
Sn1 0.0000 0.0000 0.5000
Sn2 0.0000 0.5000 0.0000
Te1 0.1998 0.7480 0.4517
Te2 0.2037 0.2520 0.9517
Te3 0.2153 0.2218 0.5065
Te4 0.2153 0.7088 0.9935
Te5 0.7847 0.2912 0.0065
Te6 0.7847 0.7782 0.4935
Te7 0.7963 0.7480 0.0483
Te8 0.8002 0.2520 0.5483
```

Largest 10 diffraction maxima, most intense first, 15 to 90 degrees two-theta:
2θ/deg	intensity
25.7	100
36.4	65
25.4	47
38.8	18
46.9	18
34.4	18
43.3	15
59.5	11
32.8	11
45.9	11

Entry 6:
For CaMg14Zr, a crystal structure in Alexandria, relaxed with GGA-PBE gives the computed XRD peak list in this record (a wavelength of 1.5418 Å).
Kinematic intensities with the Lorentz-polarization factor, no thermal factor.

Atomic structure:
```
data_CaMg14Zr
_chemical_formula_sum 'Ca1 Mg14 Zr1'
_cell_length_a 6.5369
_cell_length_b 6.5369
_cell_length_c 10.3069
_cell_angle_alpha 90.00
_cell_angle_beta 90.00
_cell_angle_gamma 120.00
_space_group_name_H-M_alt 'P 1'
_space_group_IT_number 1
_space_group_name_Hall 'P 1'
loop_
_atom_site_label
_atom_site_fract_x
_atom_site_fract_y
_atom_site_fract_z
Ca1 0.0000 0.0000 0.0000
Mg1 0.0017 0.5008 0.5000
Mg2 0.0088 0.5044 0.0000
Mg3 0.1668 0.3336 0.2590
Mg4 0.1668 0.3336 0.7410
Mg5 0.1668 0.8332 0.2590
Mg6 0.1668 0.8332 0.7410
Mg7 0.4956 0.5044 0.0000
Mg8 0.4956 0.9912 0.0000
Mg9 0.4992 0.5008 0.5000
Mg10 0.4992 0.9983 0.5000
Mg11 0.6664 0.8332 0.2590
Mg12 0.6664 0.8332 0.7410
Mg13 0.6667 0.3333 0.2469
Mg14 0.6667 0.3333 0.7531
Zr1 0.0000 0.0000 0.5000
```

Largest 10 diffraction maxima, most intense first, 15 to 90 degrees two-theta:
2θ/deg	intensity
36.2	100
31.6	26
34.8	24
67.9	19
63.3	18
56.3	17
47.7	16
15.7	16
68.8	14
23.3	12

Entry 7:
For Y2PuP3, a crystal structure in Alexandria, relaxed with GGA-PBE gives the computed XRD peak list in this record (a wavelength of 1.5418 Å).
Kinematic intensities with the Lorentz-polarization factor, no thermal factor.

Atomic structure:
```
data_Y2PuP3
_chemical_formula_sum 'Y2 Pu1 P3'
_cell_length_a 8.9436
_cell_length_b 8.9436
_cell_length_c 8.9436
_cell_angle_alpha 154.12
_cell_angle_beta 154.12
_cell_angle_gamma 36.92
_space_group_name_H-M_alt 'P 1'
_space_group_IT_number 1
_space_group_name_Hall 'P 1'
loop_
_atom_site_label
_atom_site_fract_x
_atom_site_fract_y
_atom_site_fract_z
Y1 0.1680 0.1680 0.0000
Y2 0.8320 0.8320 0.0000
Pu1 0.5000 0.5000 0.0000
P1 0.0000 0.0000 0.0000
P2 0.3346 0.3346 0.0000
P3 0.6654 0.6654 0.0000
```

Largest 10 diffraction maxima, most intense first, 15 to 90 degrees two-theta:
2θ/deg	intensity
31.6	100
27.3	77
45.3	73
53.7	37
56.3	25
83.7	25
22.8	23
75.0	22
72.8	15
75.1	11